(1)
For Li9Mn2Co5O16, DFT lattice parameters and positions (PBE+U) gives the theoretical PXRD pattern in this record (Cu Kα (λ = 1.5418 Å)).
Neutral-atom scattering factors, no anomalous dispersion.

Peak list (10 most intense, 10 to 90 degrees two-theta, sorted by position)
2θ/deg, intensity
18.46, 100
35.17, 17
36.76, 24
42.31, 30
44.65, 51
62.95, 7
63.22, 15
63.38, 7
64.30, 7
65.66, 7

Structural model:
Lattice parameters (Å, degrees): 5.891 6.450 8.620 83.02 70.50 65.83
Sites, in units of the cell vectors:
Li1 0.000 0.000 0.000
Li2 0.243 0.245 0.757
Li3 0.244 0.999 0.500
Li4 0.246 0.753 0.245
Li5 0.252 0.502 0.001
Li6 0.748 0.498 0.999
Li7 0.754 0.247 0.755
Li8 0.756 0.001 0.500
Li9 0.757 0.755 0.243
Mn1 0.000 0.500 0.500
Mn2 0.500 0.000 0.000
Co1 0.001 0.246 0.249
Co2 0.484 0.758 0.755
Co3 0.500 0.500 0.500
Co4 0.516 0.242 0.245
Co5 0.999 0.754 0.751
O1 0.113 0.488 0.263
O2 0.115 0.738 0.510
O3 0.126 0.979 0.746
O4 0.149 0.231 0.014
O5 0.353 0.279 0.491
O6 0.389 0.757 0.989
O7 0.392 0.511 0.734
O8 0.399 0.004 0.238
O9 0.601 0.996 0.762
O10 0.608 0.489 0.266
O11 0.611 0.243 0.011
O12 0.647 0.721 0.509
O13 0.851 0.769 0.986
O14 0.874 0.021 0.254
O15 0.885 0.262 0.490
O16 0.887 0.512 0.737

(2)
For Li2MnBO4, DFT lattice parameters and positions (PBE+U) gives the theoretical PXRD pattern in this record (Cu Kα (λ = 1.5418 Å)).
Neutral-atom scattering factors, no anomalous dispersion.

Peak list (10 most intense, 10 to 90 degrees two-theta, sorted by position)
2θ/deg, intensity
13.34, 93
19.17, 27
24.21, 20
27.03, 100
28.43, 20
30.67, 47
34.69, 58
45.80, 14
55.02, 16
62.25, 14

Structural model:
Lattice parameters (Å, degrees): 6.662 5.164 10.506 90.00 94.77 90.00
Sites, in units of the cell vectors:
Li1 0.097 0.154 0.292
Li2 0.097 0.346 0.792
Li3 0.209 0.173 0.569
Li4 0.209 0.327 0.069
Li5 0.791 0.673 0.931
Li6 0.791 0.827 0.431
Li7 0.903 0.654 0.208
Li8 0.903 0.846 0.708
Mn1 0.493 0.653 0.653
Mn2 0.493 0.847 0.153
Mn3 0.507 0.153 0.847
Mn4 0.507 0.347 0.347
B1 0.189 0.676 0.438
B2 0.189 0.824 0.938
B3 0.811 0.176 0.062
B4 0.811 0.324 0.562
O1 0.054 0.695 0.858
O2 0.054 0.805 0.358
O3 0.240 0.085 0.920
O4 0.240 0.415 0.420
O5 0.282 0.693 0.044
O6 0.282 0.807 0.544
O7 0.376 0.148 0.210
O8 0.376 0.352 0.710
O9 0.624 0.648 0.290
O10 0.624 0.852 0.790
O11 0.718 0.193 0.456
O12 0.718 0.307 0.956
O13 0.760 0.585 0.580
O14 0.760 0.915 0.080
O15 0.946 0.195 0.642
O16 0.946 0.305 0.142

(3)
For V3H8N2O8, DFT lattice parameters and positions (PBE+U) gives the theoretical PXRD pattern in this record (Cu Kα (λ = 1.5418 Å)).
Neutral-atom scattering factors, no anomalous dispersion.

Peak list (10 most intense, 10 to 90 degrees two-theta, sorted by position)
2θ/deg, intensity
15.57, 100
22.01, 50
25.18, 18
27.08, 87
31.33, 31
31.43, 20
35.16, 21
44.94, 24
53.35, 10
58.40, 13

Structural model:
Lattice parameters (Å, degrees): 9.029 9.029 5.692 90.00 90.00 90.00
Sites, in units of the cell vectors:
V1 0.000 0.000 0.000
V2 0.134 0.366 0.001
V3 0.366 0.866 0.001
V4 0.500 0.500 0.000
V5 0.634 0.134 0.001
V6 0.866 0.634 0.001
H1 0.099 0.599 0.449
H2 0.111 0.742 0.639
H3 0.233 0.733 0.416
H4 0.242 0.611 0.639
H5 0.258 0.111 0.639
H6 0.267 0.233 0.416
H7 0.389 0.242 0.639
H8 0.401 0.099 0.449
H9 0.599 0.901 0.449
H10 0.611 0.758 0.639
H11 0.733 0.767 0.416
H12 0.742 0.889 0.639
H13 0.758 0.389 0.639
H14 0.767 0.267 0.416
H15 0.889 0.258 0.639
H16 0.901 0.401 0.449
N1 0.171 0.671 0.534
N2 0.329 0.171 0.534
N3 0.671 0.829 0.534
N4 0.829 0.329 0.534
O1 0.000 0.000 0.288
O2 0.000 0.500 0.890
O3 0.084 0.192 0.893
O4 0.132 0.368 0.296
O5 0.192 0.916 0.893
O6 0.308 0.416 0.893
O7 0.368 0.868 0.296
O8 0.416 0.692 0.893
O9 0.500 0.000 0.890
O10 0.500 0.500 0.288
O11 0.584 0.308 0.893
O12 0.632 0.132 0.296
O13 0.692 0.584 0.893
O14 0.808 0.084 0.893
O15 0.868 0.632 0.296
O16 0.916 0.808 0.893

(4)
For Fe3P6WO24, DFT lattice parameters and positions (PBE+U) gives the theoretical PXRD pattern in this record (Cu Kα (λ = 1.5418 Å)).
Neutral-atom scattering factors, no anomalous dispersion.

Peak list (10 most intense, 10 to 90 degrees two-theta, sorted by position)
2θ/deg, intensity
12.37, 34
14.17, 73
19.85, 100
20.34, 65
23.66, 93
28.57, 66
31.70, 51
35.33, 27
35.62, 25
55.71, 22

Structural model:
Lattice parameters (Å, degrees): 8.953 8.953 8.953 58.37 58.37 58.37
Sites, in units of the cell vectors:
Fe1 0.000 0.000 0.000
Fe2 0.214 0.214 0.214
Fe3 0.498 0.498 0.498
P1 0.110 0.385 0.824
P2 0.316 0.890 0.609
P3 0.385 0.824 0.110
P4 0.609 0.316 0.890
P5 0.824 0.110 0.385
P6 0.890 0.609 0.316
W1 0.714 0.714 0.714
O1 0.064 0.434 0.304
O2 0.080 0.221 0.848
O3 0.125 0.368 0.995
O4 0.142 0.916 0.779
O5 0.221 0.848 0.080
O6 0.279 0.418 0.649
O7 0.304 0.064 0.434
O8 0.350 0.721 0.579
O9 0.368 0.995 0.125
O10 0.418 0.649 0.279
O11 0.434 0.304 0.064
O12 0.492 0.850 0.646
O13 0.568 0.787 0.932
O14 0.579 0.350 0.721
O15 0.646 0.492 0.850
O16 0.649 0.279 0.418
O17 0.721 0.579 0.350
O18 0.779 0.142 0.916
O19 0.787 0.932 0.568
O20 0.848 0.080 0.221
O21 0.850 0.646 0.492
O22 0.916 0.779 0.142
O23 0.932 0.568 0.787
O24 0.995 0.125 0.368

(5)
For Ba2LaMn2O7, DFT lattice parameters and positions (PBE+U) gives the theoretical PXRD pattern in this record (Cu Kα (λ = 1.5418 Å)).
Neutral-atom scattering factors, no anomalous dispersion.

Peak list (10 most intense, 10 to 90 degrees two-theta, sorted by position)
2θ/deg, intensity
22.55, 18
25.59, 18
30.89, 100
31.52, 67
41.02, 34
45.17, 40
52.60, 13
54.53, 12
55.73, 38
65.80, 13

Structural model:
Lattice parameters (Å, degrees): 10.828 10.828 5.677 90.00 90.00 149.61
Sites, in units of the cell vectors:
Ba1 0.181 0.819 0.000
Ba2 0.319 0.681 0.500
Ba3 0.681 0.319 0.500
Ba4 0.819 0.181 0.000
La1 0.000 0.000 0.000
La2 0.500 0.500 0.500
Mn1 0.093 0.907 0.500
Mn2 0.406 0.594 0.000
Mn3 0.594 0.406 0.000
Mn4 0.907 0.093 0.500
O1 0.000 0.000 0.500
O2 0.154 0.327 0.260
O3 0.154 0.327 0.740
O4 0.186 0.814 0.500
O5 0.314 0.686 0.000
O6 0.327 0.154 0.260
O7 0.327 0.154 0.740
O8 0.500 0.500 0.000
O9 0.673 0.846 0.260
O10 0.673 0.846 0.740
O11 0.686 0.314 0.000
O12 0.814 0.186 0.500
O13 0.846 0.673 0.260
O14 0.846 0.673 0.740

(6)
For CsCoPO4, DFT lattice parameters and positions (PBE+U) gives the theoretical PXRD pattern in this record (Cu Kα (λ = 1.5418 Å)).
Neutral-atom scattering factors, no anomalous dispersion.

Peak list (10 most intense, 10 to 90 degrees two-theta, sorted by position)
2θ/deg, intensity
26.50, 100
26.65, 24
29.80, 9
29.92, 11
32.28, 18
32.60, 18
42.74, 11
44.53, 9
50.87, 10
54.15, 12

Structural model:
Lattice parameters (Å, degrees): 9.437 5.546 9.486 90.00 90.18 90.00
Sites, in units of the cell vectors:
Cs1 0.001 0.000 0.311
Cs2 0.493 0.530 0.794
Cs3 0.507 0.030 0.206
Cs4 0.999 0.500 0.689
Co1 0.165 0.000 0.911
Co2 0.325 0.529 0.419
Co3 0.675 0.029 0.581
Co4 0.835 0.500 0.089
P1 0.189 0.500 0.096
P2 0.308 0.026 0.585
P3 0.692 0.526 0.415
P4 0.811 0.000 0.904
O1 0.034 0.521 0.149
O2 0.217 0.668 0.967
O3 0.225 0.235 0.055
O4 0.240 0.227 0.491
O5 0.240 0.780 0.540
O6 0.276 0.079 0.742
O7 0.290 0.577 0.217
O8 0.469 0.018 0.562
O9 0.531 0.518 0.438
O10 0.710 0.077 0.783
O11 0.724 0.579 0.258
O12 0.760 0.280 0.460
O13 0.760 0.727 0.509
O14 0.775 0.735 0.945
O15 0.783 0.168 0.033
O16 0.966 0.021 0.851

(7)
For Li9Co7O16, DFT lattice parameters and positions (PBE+U) gives the theoretical PXRD pattern in this record (Cu Kα (λ = 1.5418 Å)).
Neutral-atom scattering factors, no anomalous dispersion.

Peak list (10 most intense, 10 to 90 degrees two-theta, sorted by position)
2θ/deg, intensity
18.32, 100
36.10, 27
36.34, 13
37.79, 12
43.60, 55
43.97, 26
47.81, 9
57.38, 9
63.18, 15
64.11, 15

Structural model:
Lattice parameters (Å, degrees): 5.907 2.919 16.478 90.00 91.08 90.00
Sites, in units of the cell vectors:
Li1 0.000 0.000 0.000
Li2 0.000 0.000 0.500
Li3 0.251 0.500 0.125
Li4 0.256 0.500 0.622
Li5 0.499 0.000 0.747
Li6 0.500 0.000 0.500
Li7 0.501 0.000 0.253
Li8 0.744 0.500 0.378
Li9 0.749 0.500 0.875
Co1 0.003 0.000 0.746
Co2 0.249 0.500 0.873
Co3 0.260 0.500 0.381
Co4 0.500 0.000 0.000
Co5 0.740 0.500 0.619
Co6 0.751 0.500 0.127
Co7 0.997 0.000 0.254
O1 0.012 0.000 0.371
O2 0.022 0.000 0.869
O3 0.236 0.500 0.749
O4 0.238 0.500 0.257
O5 0.247 0.500 0.487
O6 0.261 0.500 0.000
O7 0.471 0.000 0.877
O8 0.482 0.000 0.375
O9 0.518 0.000 0.625
O10 0.529 0.000 0.123
O11 0.739 0.500 0.000
O12 0.753 0.500 0.513
O13 0.762 0.500 0.743
O14 0.764 0.500 0.251
O15 0.978 0.000 0.131
O16 0.988 0.000 0.629

Repeat the first record exactly.
For Li9Mn2Co5O16, DFT lattice parameters and positions (PBE+U) gives the theoretical PXRD pattern in this record (Cu Kα (λ = 1.5418 Å)).
Neutral-atom scattering factors, no anomalous dispersion.

Peak list (10 most intense, 10 to 90 degrees two-theta, sorted by position)
2θ/deg, intensity
18.46, 100
35.17, 17
36.76, 24
42.31, 30
44.65, 51
62.95, 7
63.22, 15
63.38, 7
64.30, 7
65.66, 7

Structural model:
Lattice parameters (Å, degrees): 5.891 6.450 8.620 83.02 70.50 65.83
Sites, in units of the cell vectors:
Li1 0.000 0.000 0.000
Li2 0.243 0.245 0.757
Li3 0.244 0.999 0.500
Li4 0.246 0.753 0.245
Li5 0.252 0.502 0.001
Li6 0.748 0.498 0.999
Li7 0.754 0.247 0.755
Li8 0.756 0.001 0.500
Li9 0.757 0.755 0.243
Mn1 0.000 0.500 0.500
Mn2 0.500 0.000 0.000
Co1 0.001 0.246 0.249
Co2 0.484 0.758 0.755
Co3 0.500 0.500 0.500
Co4 0.516 0.242 0.245
Co5 0.999 0.754 0.751
O1 0.113 0.488 0.263
O2 0.115 0.738 0.510
O3 0.126 0.979 0.746
O4 0.149 0.231 0.014
O5 0.353 0.279 0.491
O6 0.389 0.757 0.989
O7 0.392 0.511 0.734
O8 0.399 0.004 0.238
O9 0.601 0.996 0.762
O10 0.608 0.489 0.266
O11 0.611 0.243 0.011
O12 0.647 0.721 0.509
O13 0.851 0.769 0.986
O14 0.874 0.021 0.254
O15 0.885 0.262 0.490
O16 0.887 0.512 0.737

Number 1 is which compound? Li9Mn2Co5O16

Which formula does entry 5 have? Ba2LaMn2O7